(1)
Computed powder diffractogram of Sr2PrMn3O9 for a wavelength of 1.5418 Å, from a cell relaxed with PBE+U.
Intensities are scaled so that the largest is 100.

Unit cell a=5.554 b=5.554 c=13.411 alpha=91.08 beta=91.08 gamma=59.11
Sites, in units of the cell vectors:
Sr1 0.164 0.171 0.417
Sr2 0.171 0.164 0.917
Sr3 0.829 0.836 0.083
Sr4 0.836 0.829 0.583
Pr1 0.499 0.501 0.250
Pr2 0.501 0.499 0.750
Mn1 0.165 0.168 0.166
Mn2 0.168 0.165 0.666
Mn3 0.500 0.500 0.000
Mn4 0.500 0.500 0.500
Mn5 0.832 0.835 0.334
Mn6 0.835 0.832 0.834
O1 0.040 0.960 0.750
O2 0.064 0.489 0.257
O3 0.152 0.722 0.423
O4 0.195 0.606 0.903
O5 0.278 0.848 0.077
O6 0.316 0.355 0.587
O7 0.355 0.316 0.087
O8 0.394 0.805 0.597
O9 0.489 0.064 0.757
O10 0.511 0.936 0.243
O11 0.606 0.195 0.403
O12 0.645 0.684 0.913
O13 0.684 0.645 0.413
O14 0.722 0.152 0.923
O15 0.805 0.394 0.097
O16 0.848 0.278 0.577
O17 0.936 0.511 0.743
O18 0.960 0.040 0.250

Top 10 peaks for 2θ from 10° to 90°, in order of rising 2θ:
| Position (°2θ) | I (rel.) |
| --- | --- |
| 32.2 | 99.4 |
| 32.5 | 100.0 |
| 32.7 | 51.6 |
| 32.9 | 52.9 |
| 40.0 | 34.7 |
| 45.8 | 37.9 |
| 47.0 | 65.9 |
| 57.4 | 20.6 |
| 58.1 | 21.2 |
| 58.1 | 20.6 |

=====

(2)
Computed powder diffractogram of Sr3PrMn2O8 for a wavelength of 1.5418 Å, from a cell relaxed with PBE+U.
Intensities are scaled so that the largest is 100.

Unit cell a=5.545 b=6.793 c=6.793 alpha=48.08 beta=90.00 gamma=90.00
Sites, in units of the cell vectors:
Sr1 0.000 0.000 0.000
Sr2 0.000 0.286 0.286
Sr3 0.500 0.497 0.497
Pr1 0.500 0.779 0.779
Mn1 0.000 0.640 0.640
Mn2 0.500 0.141 0.141
O1 0.000 0.484 0.484
O2 0.000 0.802 0.802
O3 0.257 0.398 0.893
O4 0.257 0.893 0.398
O5 0.500 0.301 0.301
O6 0.500 0.973 0.973
O7 0.743 0.398 0.893
O8 0.743 0.893 0.398

Top 10 peaks for 2θ from 10° to 90°, in order of rising 2θ:
| Position (°2θ) | I (rel.) |
| --- | --- |
| 23.8 | 15.2 |
| 31.5 | 100.0 |
| 32.3 | 75.9 |
| 43.2 | 15.0 |
| 43.8 | 44.4 |
| 46.4 | 41.2 |
| 55.5 | 21.4 |
| 57.1 | 26.2 |
| 57.1 | 18.7 |
| 76.5 | 14.8 |

=====

(3)
Computed powder diffractogram of PrMn2ZnO6 for a wavelength of 1.5418 Å, from a cell relaxed with PBE+U.
Intensities are scaled so that the largest is 100.

Unit cell a=7.716 b=5.474 c=5.289 alpha=90.00 beta=90.00 gamma=90.00
Sites, in units of the cell vectors:
Pr1 0.000 0.208 0.000
Pr2 0.500 0.792 0.500
Mn1 0.249 0.745 0.987
Mn2 0.251 0.255 0.487
Mn3 0.749 0.255 0.487
Mn4 0.751 0.745 0.987
Zn1 0.000 0.704 0.464
Zn2 0.500 0.296 0.964
O1 0.000 0.291 0.569
O2 0.000 0.769 0.853
O3 0.191 0.481 0.217
O4 0.192 0.951 0.290
O5 0.308 0.049 0.790
O6 0.309 0.519 0.717
O7 0.500 0.231 0.353
O8 0.500 0.709 0.069
O9 0.691 0.519 0.717
O10 0.692 0.049 0.790
O11 0.808 0.951 0.290
O12 0.809 0.481 0.217

Top 10 peaks for 2θ from 10° to 90°, in order of rising 2θ:
| Position (°2θ) | I (rel.) |
| --- | --- |
| 20.4 | 9.7 |
| 32.7 | 21.7 |
| 33.1 | 100.0 |
| 33.9 | 20.3 |
| 47.1 | 14.2 |
| 47.8 | 24.3 |
| 58.6 | 23.9 |
| 59.3 | 10.9 |
| 60.1 | 21.1 |
| 69.4 | 11.4 |